Diffraction record for LiVZn2O4. The powder diffraction line list is theoretical, not measured: it uses a cell relaxed with GGA+U and Cu Kα.

Structural model:
```
data_LiVZn2O4
_chemical_formula_sum 'Li2 V2 Zn4 O8'
_cell_length_a 4.598
_cell_length_b 4.598
_cell_length_c 9.187
_cell_angle_alpha 90.00
_cell_angle_beta 90.00
_cell_angle_gamma 90.00
_space_group_name_H-M_alt 'I -4 2 m'
_space_group_IT_number 121
_space_group_name_Hall 'I -4 2'
loop_
_atom_site_label
_atom_site_type_symbol
_atom_site_fract_x
_atom_site_fract_y
_atom_site_fract_z
Li1 Li 0.000 0.000 0.000
V1 V 0.000 0.000 0.500
Zn1 Zn 0.000 0.500 0.250
O1 O 0.243 0.243 0.623
```

Most intense lines, 2θ from 10° to 80°, low angle first:
2theta  I_rel  index
19.3  16  0 0 2
21.6  17  1 0 1
27.4  15  1 1 0
33.8  100  1 1 2
39.2  20  2 0 0
44.0  9  2 0 2
48.5  6  1 1 4
56.6  47  2 2 0
67.6  34  3 1 2
71.0  5  2 2 4